No. 1
Computed X-ray powder pattern
Compound: SmCr2GeC
Radiation: copper Kα
Structure: a cell relaxed with GGA-PBE

Principal peaks in the range 5° ≤ 2θ ≤ 70°, by angle:
Position (°2θ)  intensity
24.87  42
31.73  25
33.64  100
37.04  63
37.49  60
46.92  42
48.21  50
58.87  15
59.75  19
60.38  29

Structure:
abc: 6.2316 6.2316 5.3783
angles: 90.00 90.00 129.66
Element x y z (fractional)
Sm: 0.2489 0.7511 0.7500
Sm: 0.7511 0.2489 0.2500
Cr: 0.2667 0.2667 0.0000
Cr: 0.2667 0.2667 0.5000
Cr: 0.7333 0.7333 0.0000
Cr: 0.7333 0.7333 0.5000
Ge: 0.1347 0.8653 0.2500
Ge: 0.8653 0.1347 0.7500
C: 0.4435 0.5565 0.2500
C: 0.5565 0.4435 0.7500

***

No. 2
Computed X-ray powder pattern
Compound: Tb3HoAs4
Radiation: copper Kα
Structure: a cell relaxed with GGA-PBE

Principal peaks in the range 5° ≤ 2θ ≤ 70°, by angle:
Position (°2θ)  intensity
26.44  23
30.62  100
43.85  75
51.93  11
54.43  26
63.75  12

Structure:
abc: 7.1503 7.1503 4.1309
angles: 90.00 90.00 109.48
Element x y z (fractional)
Tb: 0.0000 0.0000 0.0000
Tb: 0.0000 0.5000 0.5000
Tb: 0.5000 0.0000 0.5000
Ho: 0.5000 0.5000 0.0000
As: 0.2509 0.7491 0.0000
As: 0.2516 0.2516 0.5000
As: 0.7484 0.7484 0.5000
As: 0.7491 0.2509 0.0000